Structure and computed X-ray powder pattern of Ca3Zn (a DFT-relaxed cell (PBE, the Materials Project); Cu Kα (weighted mean of Kα1 and Kα2)).
Peak positions follow from Bragg's law for the DFT cell and can differ from measured ones.

```
Ca3Zn
1.0
7.978 0.000 0.000
0.000 7.978 0.000
0.000 0.000 7.978
Ca Zn
12 4
direct
0.000 0.000 0.000
0.000 0.500 0.500
0.250 0.250 0.250
0.250 0.250 0.750
0.250 0.750 0.250
0.250 0.750 0.750
0.500 0.000 0.500
0.500 0.500 0.000
0.750 0.250 0.250
0.750 0.250 0.750
0.750 0.750 0.250
0.750 0.750 0.750
0.000 0.000 0.500
0.000 0.500 0.000
0.500 0.000 0.000
0.500 0.500 0.500
```

Principal peaks in the range 5 to 70 degrees two-theta, sorted by position:
2θ = 19.27°, I = 4.4
2θ = 22.29°, I = 2.4
2θ = 31.72°, I = 100.0
2θ = 37.38°, I = 2.8
2θ = 45.48°, I = 17.2
2θ = 49.82°, I = 1.3
2θ = 51.21°, I = 1.2
2θ = 56.51°, I = 34.3
2θ = 60.28°, I = 1.0
2θ = 66.27°, I = 10.1